Starting from a DFT-relaxed cell (GGA-PBE, Alexandria), the X-ray powder pattern of La2PmSm5Sc was computed for copper Kα.

Structural model:
```
La2PmSm5Sc
1.0
2.741 -11.006 0.000
2.741 11.006 0.000
0.000 0.000 10.186
La Pm Sm Sc
4 2 10 2
direct
0.118 0.882 0.500 La
0.118 0.882 0.981 La
0.882 0.118 0.000 La
0.882 0.118 0.481 La
0.398 0.602 0.741 Pm
0.602 0.398 0.241 Pm
0.000 0.000 0.241 Sm
0.000 0.000 0.741 Sm
0.277 0.723 0.554 Sm
0.277 0.723 0.929 Sm
0.374 0.626 0.241 Sm
0.500 0.500 0.491 Sm
0.500 0.500 0.991 Sm
0.626 0.374 0.741 Sm
0.723 0.277 0.054 Sm
0.723 0.277 0.429 Sm
0.215 0.785 0.241 Sc
0.785 0.215 0.741 Sc
```

Most intense lines, 15° ≤ 2θ ≤ 90°, low angle first:
- d = 3.326 Å, intensity 38
- d = 2.862 Å, intensity 14
- d = 2.846 Å, intensity 100
- d = 2.752 Å, intensity 16
- d = 2.741 Å, intensity 35
- d = 2.546 Å, intensity 16
- d = 1.942 Å, intensity 12
- d = 1.867 Å, intensity 22
- d = 1.602 Å, intensity 18
- d = 1.543 Å, intensity 23